Record 1
Structure and simulated X-ray diffraction stick pattern of Tb2Pr2DySc (a crystal structure in Alexandria, relaxed with PBE; copper Kα).
Neutral-atom scattering factors, no anomalous dispersion.

Structural model:
```
12
Lattice="6.925 0.000 0.000 0.000 5.635 0.000 0.000 0.000 9.759" Properties=species:S:1:pos:R:3 pbc="T T T"
Tb 1.731 0.000 1.614
Tb 1.731 2.817 6.500
Tb 5.193 0.000 8.145
Tb 5.193 2.817 3.259
Pr 0.000 2.817 0.000
Pr 1.731 0.000 7.935
Pr 3.462 2.817 0.000
Pr 5.193 0.000 1.824
Dy 1.731 2.817 3.388
Dy 5.193 2.817 6.371
Sc 0.000 0.000 4.880
Sc 3.462 0.000 4.880
```

The 12 most intense peaks (2θ = 10–80°), by angle:
Position (°2θ)  I_rel
18.18  4.8
25.73  9.4
31.73  100.0
41.32  15.5
45.48  15.7
52.89  4.6
56.55  26.3
63.02  15.6
63.16  4.1
66.36  6.2
72.43  2.6
75.41  6.6

***

Record 2
Structure and simulated X-ray diffraction stick pattern of MgPbO3 (a crystal structure in Alexandria, relaxed with PBE; copper Kα).
Neutral-atom scattering factors, no anomalous dispersion.

Structural model:
```
10
Lattice="2.734 1.578 4.857 -2.734 1.578 4.857 0.000 -3.157 4.857" Properties=species:S:1:pos:R:3 pbc="T T T"
Mg 0.000 0.000 0.000
Mg 0.000 0.000 7.286
Pb 0.000 0.000 3.096
Pb 0.000 0.000 10.382
O -0.723 -1.700 6.323
O -1.623 -0.102 8.751
O -1.111 1.476 6.323
O 0.900 -1.354 8.751
O 1.834 0.224 6.323
O 0.723 1.457 8.751
```

The 12 most intense peaks (2θ = 10–80°), by angle:
Position (°2θ)  I_rel
22.39  100.0
30.97  64.7
32.76  51.9
40.04  25.2
45.70  25.8
50.25  34.6
52.66  21.5
53.93  12.8
57.36  25.6
58.47  16.4
71.26  9.6
77.22  9.9

***

Which formula does entry 2 have?
MgPbO3

***

Which formula does entry 2 have?
MgPbO3